[1]
Starting from a cell relaxed with PBE, the XRD peak list of FeS4 was calculated for Cu Kα (λ = 1.5418 Å).

Crystal structure
```
data_FeS4
_chemical_formula_sum 'Fe1 S4'
_cell_length_a 3.4237
_cell_length_b 4.7964
_cell_length_c 6.5615
_cell_angle_alpha 98.75
_cell_angle_beta 90.67
_cell_angle_gamma 110.84
_space_group_name_H-M_alt 'P -1'
_space_group_IT_number 2
loop_
_space_group_symop_operation_xyz
'x,y,z'
'-x,-y,-z'
loop_
_atom_site_label
_atom_site_type_symbol
_atom_site_fract_x
_atom_site_fract_y
_atom_site_fract_z
Fe1 Fe 0.0000 0.0000 0.0000
S1 S 0.1388 0.2901 0.7493
S2 S 0.3678 0.7430 0.8179
```

Peak list (10 most intense, 10° ≤ 2θ ≤ 90°, low angle first)
2theta  I (rel.)
13.69  100
22.39  12
27.95  13
31.43  27
31.86  30
32.15  29
44.45  12
44.69  12
45.69  13
49.84  12

[2]
Starting from a cell relaxed with PBE, the XRD peak list of Fe3S4 was calculated for Cu Kα (λ = 1.5418 Å).

Crystal structure
```
data_Fe3S4
_chemical_formula_sum 'Fe6 S8'
_cell_length_a 11.2665
_cell_length_b 3.2879
_cell_length_c 5.6514
_cell_angle_alpha 90.00
_cell_angle_beta 116.24
_cell_angle_gamma 90.00
_space_group_name_H-M_alt 'C 1 2/m 1'
_space_group_IT_number 12
loop_
_space_group_symop_operation_xyz
'x,y,z'
'-x,-y,-z'
'-x,y,-z'
'x,-y,z'
'x+1/2,y+1/2,z'
'-x+1/2,-y+1/2,-z'
'-x+1/2,y+1/2,-z'
'x+1/2,-y+1/2,z'
loop_
_atom_site_label
_atom_site_type_symbol
_atom_site_fract_x
_atom_site_fract_y
_atom_site_fract_z
Fe1 Fe 0.0000 0.0000 0.0000
Fe2 Fe 0.2307 0.5000 0.6893
S1 S 0.1096 0.0000 0.4441
S2 S 0.1371 0.5000 0.9814
```

Peak list (10 most intense, 10° ≤ 2θ ≤ 90°, low angle first)
2theta  I (rel.)
18.52  53
31.50  63
31.77  49
35.74  100
37.54  54
38.25  54
47.35  75
49.05  95
55.93  48
56.38  74

[3]
Starting from a cell relaxed with PBE, the XRD peak list of Fe3Se4S2 was calculated for Cu Kα (λ = 1.5418 Å).

Crystal structure
```
data_Fe3Se4S2
_chemical_formula_sum 'Fe6 Se8 S4'
_cell_length_a 7.4691
_cell_length_b 3.5301
_cell_length_c 10.8362
_cell_angle_alpha 90.00
_cell_angle_beta 99.22
_cell_angle_gamma 90.00
_space_group_name_H-M_alt 'P 1 m 1'
_space_group_IT_number 6
loop_
_space_group_symop_operation_xyz
'x,y,z'
'x,-y,z'
loop_
_atom_site_label
_atom_site_type_symbol
_atom_site_fract_x
_atom_site_fract_y
_atom_site_fract_z
Fe1 Fe 0.0000 0.0000 0.0000
Fe2 Fe 0.1625 0.5000 0.3207
Fe3 Fe 0.3317 0.0000 0.6666
Fe4 Fe 0.4959 0.5000 0.9960
Fe5 Fe 0.6610 0.0000 0.3261
Fe6 Fe 0.8277 0.5000 0.6550
Se1 Se 0.1457 0.5000 0.7131
Se2 Se 0.1517 0.0000 0.4653
Se3 Se 0.1800 0.5000 0.9483
Se4 Se 0.4775 0.5000 0.3747
Se5 Se 0.5112 0.5000 0.6112
Se6 Se 0.8132 0.5000 0.0459
Se7 Se 0.8186 0.0000 0.7994
Se8 Se 0.8446 0.5000 0.2768
S1 S 0.1696 0.0000 0.1887
S2 S 0.4901 0.0000 0.1320
S3 S 0.4997 0.0000 0.8592
S4 S 0.8319 0.0000 0.5203
```

Peak list (10 most intense, 10° ≤ 2θ ≤ 90°, low angle first)
2theta  I (rel.)
24.97  44
31.68  100
35.27  80
35.80  65
36.56  59
37.57  56
48.87  53
49.67  76
51.80  47
55.19  57

[4]
Starting from a cell relaxed with PBE, the XRD peak list of FeSiS was calculated for Cu Kα (λ = 1.5418 Å).

Crystal structure
```
data_FeSiS
_chemical_formula_sum 'Fe2 Si2 S2'
_cell_length_a 7.9587
_cell_length_b 2.7595
_cell_length_c 3.9477
_cell_angle_alpha 90.00
_cell_angle_beta 95.23
_cell_angle_gamma 90.00
_space_group_name_H-M_alt 'C 1 m 1'
_space_group_IT_number 8
loop_
_space_group_symop_operation_xyz
'x,y,z'
'x,-y,z'
'x+1/2,y+1/2,z'
'x+1/2,-y+1/2,z'
loop_
_atom_site_label
_atom_site_type_symbol
_atom_site_fract_x
_atom_site_fract_y
_atom_site_fract_z
Fe1 Fe 0.0000 0.0000 0.0000
Si1 Si 0.0120 0.5000 0.4805
S1 S 0.2155 0.5000 0.8935
```

Peak list (10 most intense, 10° ≤ 2θ ≤ 90°, low angle first)
2theta  I (rel.)
22.44  86
22.62  83
34.41  27
40.97  100
42.17  37
45.79  39
46.18  33
51.86  40
53.93  19
54.84  52

[5]
Starting from a cell relaxed with PBE, the XRD peak list of Fe2SnS4 was calculated for Cu Kα (λ = 1.5418 Å).

Crystal structure
```
data_Fe2SnS4
_chemical_formula_sum 'Fe8 Sn4 S16'
_cell_length_a 7.0617
_cell_length_b 7.2038
_cell_length_c 10.0449
_cell_angle_alpha 90.00
_cell_angle_beta 90.00
_cell_angle_gamma 90.00
_space_group_name_H-M_alt 'I m m a'
_space_group_IT_number 74
_space_group_name_Hall '-I 2b 2'
loop_
_atom_site_label
_atom_site_type_symbol
_atom_site_fract_x
_atom_site_fract_y
_atom_site_fract_z
Fe1 Fe 0.0000 0.2500 0.1312
Fe2 Fe 0.2500 0.2500 0.7500
Sn1 Sn 0.0000 0.0000 0.5000
S1 S 0.0000 0.0351 0.7545
S2 S 0.2378 0.2500 0.9785
```

Peak list (10 most intense, 10° ≤ 2θ ≤ 90°, low angle first)
2theta  I (rel.)
15.34  43
29.22  100
29.53  85
35.61  66
35.76  32
46.63  22
46.99  44
50.69  23
51.35  90
51.78  24

[6]
Starting from a cell relaxed with PBE, the XRD peak list of Fe3Sn2S8 was calculated for Cu Kα (λ = 1.5418 Å).

Crystal structure
```
data_Fe3Sn2S8
_chemical_formula_sum 'Fe6 Sn4 S16'
_cell_length_a 6.9043
_cell_length_b 7.3963
_cell_length_c 10.1174
_cell_angle_alpha 90.00
_cell_angle_beta 90.00
_cell_angle_gamma 90.00
_space_group_name_H-M_alt 'I m m 2'
_space_group_IT_number 44
loop_
_space_group_symop_operation_xyz
'x,y,z'
'-x,-y,z'
'-x,y,z'
'x,-y,z'
'x+1/2,y+1/2,z+1/2'
'-x+1/2,-y+1/2,z+1/2'
'-x+1/2,y+1/2,z+1/2'
'x+1/2,-y+1/2,z+1/2'
loop_
_atom_site_label
_atom_site_type_symbol
_atom_site_fract_x
_atom_site_fract_y
_atom_site_fract_z
Fe1 Fe 0.0000 0.0000 0.0000
Fe2 Fe 0.2505 0.0000 0.3824
Sn1 Sn 0.0000 0.2359 0.6250
S1 S 0.0000 0.1993 0.3752
S2 S 0.0000 0.2738 0.8803
S3 S 0.2300 0.5000 0.1045
S4 S 0.2459 0.0000 0.1486
```

Peak list (10 most intense, 10° ≤ 2θ ≤ 90°, low angle first)
2theta  I (rel.)
14.84  35
15.54  61
17.55  22
28.77  67
29.48  30
29.91  22
35.55  100
38.40  18
51.13  62
53.06  17

[7]
Starting from a cell relaxed with PBE, the XRD peak list of Ta9Fe2S6 was calculated for Cu Kα (λ = 1.5418 Å).

Crystal structure
```
data_Ta9Fe2S6
_chemical_formula_sum 'Ta18 Fe4 S12'
_cell_length_a 10.4141
_cell_length_b 10.4141
_cell_length_c 6.6066
_cell_angle_alpha 90.00
_cell_angle_beta 90.00
_cell_angle_gamma 120.00
_space_group_name_H-M_alt 'P -6 2 m'
_space_group_IT_number 189
_space_group_name_Hall 'P -6 -2'
loop_
_atom_site_label
_atom_site_type_symbol
_atom_site_fract_x
_atom_site_fract_y
_atom_site_fract_z
Ta1 Ta 0.0000 0.4593 0.2460
Ta2 Ta 0.1907 0.7352 0.5000
Ta3 Ta 0.2162 0.7434 0.0000
Fe1 Fe 0.3333 0.6667 0.2830
S1 S 0.0000 0.2762 0.0000
S2 S 0.0000 0.2786 0.5000
S3 S 0.0000 0.7019 0.2340
```

Peak list (10 most intense, 10° ≤ 2θ ≤ 90°, low angle first)
2theta  I (rel.)
33.63  64
35.90  60
37.93  100
39.99  44
40.58  17
44.30  42
55.65  16
64.02  21
68.02  18
70.70  17

[8]
Starting from a cell relaxed with PBE, the XRD peak list of FeTc4S2 was calculated for Cu Kα (λ = 1.5418 Å).

Crystal structure
```
data_FeTc4S2
_chemical_formula_sum 'Fe2 Tc8 S4'
_cell_length_a 4.3360
_cell_length_b 4.3360
_cell_length_c 12.1947
_cell_angle_alpha 90.00
_cell_angle_beta 90.00
_cell_angle_gamma 90.00
_space_group_name_H-M_alt 'I 4/m m m'
_space_group_IT_number 139
_space_group_name_Hall '-I 4 2'
loop_
_atom_site_label
_atom_site_type_symbol
_atom_site_fract_x
_atom_site_fract_y
_atom_site_fract_z
Fe1 Fe 0.0000 0.0000 0.0000
Tc1 Tc 0.0000 0.0000 0.2053
Tc2 Tc 0.0000 0.5000 0.0000
S1 S 0.0000 0.0000 0.3881
```

Peak list (10 most intense, 10° ≤ 2θ ≤ 90°, low angle first)
2theta  I (rel.)
14.53  21
29.13  12
29.29  30
32.69  100
41.66  77
42.53  53
51.74  24
60.38  25
61.05  34
70.38  21